Structure and computed powder XRD pattern of Si6Au7 (a structure optimized by DFT (PBE); Cu Kα).
Neutral-atom scattering factors, no anomalous dispersion.

Largest 8 diffraction maxima, in order of rising 2θ, 2θ from 10° to 90°:
4.878 Å, 2θ = 18.19°, intensity 1000; 4.420 Å, 2θ = 20.09°, intensity 831; 2.471 Å, 2θ = 36.36°, intensity 586; 2.439 Å, 2θ = 36.85°, intensity 490; 2.404 Å, 2θ = 37.40°, intensity 535; 2.248 Å, 2θ = 40.12°, intensity 682; 2.076 Å, 2θ = 43.60°, intensity 897; 1.433 Å, 2θ = 65.11°, intensity 326

Structural model:
Lattice parameters (Å, degrees): 9.439 9.439 9.439 35.34 35.34 35.34
Element x y z (fractional)
Si: 0.093 0.093 0.093
Si: 0.183 0.183 0.183
Si: 0.333 0.333 0.333
Si: 0.667 0.667 0.667
Si: 0.817 0.817 0.817
Si: 0.907 0.907 0.907
Au: 0.078 0.576 0.576
Au: 0.424 0.424 0.922
Au: 0.424 0.922 0.424
Au: 0.500 0.500 0.500
Au: 0.576 0.078 0.576
Au: 0.576 0.576 0.078
Au: 0.922 0.424 0.424